Record 1
For LaCuNiP2, a crystal structure in Alexandria, relaxed with GGA-PBE gives the theoretical XRD peak list in this record (Cu Kα (weighted mean of Kα1 and Kα2)).

Main lines, by angle (2θ = 15–90°):
| Position (°2θ) | I/Imax | hkl |
| --- | --- | --- |
| 24.11 | 37 | 1 0 1 |
| 33.72 | 20 | 0 0 4 |
| 34.04 | 60 | 1 0 3 |
| 36.45 | 100 | 1 1 2 |
| 46.13 | 40 | 2 0 0 |
| 48.67 | 17 | 1 0 5 |
| 58.35 | 16 | 2 0 4 |
| 58.56 | 24 | 2 1 3 |
| 62.10 | 25 | 1 1 6 |
| 79.02 | 19 | 3 1 2 |

Cell and atoms:
Unit cell a=3.9352 b=3.9352 c=10.6316 alpha=90.00 beta=90.00 gamma=90.00
Space group I-4m2 (No. 119)
Unique sites:
La 0.0000 0.0000 0.0000 [2 per cell]
Cu 0.0000 0.5000 0.7500 [2 per cell]
Ni 0.0000 0.5000 0.2500 [2 per cell]
P 0.0000 0.0000 0.3655 [4 per cell]



Record 2
For La2Cu12Ni3Pd, a crystal structure in Alexandria, relaxed with GGA-PBE gives the theoretical XRD peak list in this record (Cu Kα (weighted mean of Kα1 and Kα2)).

Main lines, by angle (2θ = 15–90°):
| Position (°2θ) | I/Imax | hkl |
| --- | --- | --- |
| 31.30 | 100 | 1 1 3 |
| 35.09 | 31 | 2 0 2 |
| 35.63 | 41 | 1 1 6 |
| 36.69 | 31 | 1 0 10 |
| 36.89 | 41 | 0 2 4 |
| 39.69 | 61 | 0 1 11 |
| 43.47 | 49 | 2 0 8 |
| 46.64 | 28 | 1 2 2 |
| 53.77 | 27 | 3 0 3 |
| 61.75 | 37 | 2 2 0 |

Cell and atoms:
Unit cell a=6.0089 b=6.0089 c=27.7601 alpha=90.00 beta=90.00 gamma=120.00
Space group R-3m (No. 166, hexagonal axes)
Unique sites:
La 0.0000 0.0000 0.1457 [6 per cell]
Cu 0.0501 0.5250 0.0916 [18 per cell]
Cu 0.0709 0.5354 0.6209 [18 per cell]
Ni 0.0000 0.5000 0.0000 [9 per cell]
Pd 0.0000 0.0000 0.5000 [3 per cell]



Record 3
For LaCu2SiNi2, a crystal structure in Alexandria, relaxed with GGA-PBE gives the theoretical XRD peak list in this record (Cu Kα (weighted mean of Kα1 and Kα2)).

Main lines, by angle (2θ = 15–90°):
| Position (°2θ) | I/Imax | hkl |
| --- | --- | --- |
| 26.09 | 29 | 1 0 1 |
| 29.63 | 32 | 1 1 0 |
| 33.62 | 92 | 1 1 1 |
| 37.94 | 100 | 1 0 2 |
| 42.40 | 74 | 2 0 0 |
| 58.19 | 55 | 2 1 2 |
| 61.52 | 23 | 2 2 0 |
| 71.97 | 19 | 3 1 1 |
| 81.10 | 20 | 2 0 4 |
| 89.77 | 16 | 3 2 2 |

Cell and atoms:
Unit cell a=4.2634 b=4.2634 c=5.7076 alpha=90.00 beta=90.00 gamma=90.00
Space group P4/mmm (No. 123)
Unique sites:
La 0.0000 0.0000 0.0000 [1 per cell]
Cu 0.5000 0.5000 0.2417 [2 per cell]
Si 0.0000 0.0000 0.5000 [1 per cell]
Ni 0.0000 0.5000 0.5000 [2 per cell]



Record 4
For La2Zn3Cu12Ni, a crystal structure in Alexandria, relaxed with GGA-PBE gives the theoretical XRD peak list in this record (Cu Kα (weighted mean of Kα1 and Kα2)).

Main lines, by angle (2θ = 15–90°):
| Position (°2θ) | I/Imax | hkl |
| --- | --- | --- |
| 30.42 | 100 | 1 1 3 |
| 33.90 | 28 | 2 0 2 |
| 35.23 | 44 | 1 1 6 |
| 35.93 | 48 | 0 2 4 |
| 37.75 | 48 | 1 0 10 |
| 40.95 | 31 | 0 1 11 |
| 43.21 | 42 | 2 0 8 |
| 44.97 | 52 | 1 2 2 |
| 55.11 | 37 | 3 0 6 |
| 59.32 | 43 | 2 2 0 |

Cell and atoms:
Unit cell a=6.2310 b=6.2310 c=26.5580 alpha=90.00 beta=90.00 gamma=120.00
Space group R-3m (No. 166, hexagonal axes)
Unique sites:
La 0.0000 0.0000 0.1537 [6 per cell]
Zn 0.0000 0.5000 0.0000 [9 per cell]
Cu 0.0597 0.5298 0.0951 [18 per cell]
Cu 0.0742 0.5371 0.6170 [18 per cell]
Ni 0.0000 0.0000 0.5000 [3 per cell]



Record 5
For La2Zn2CuNi5, a crystal structure in Alexandria, relaxed with GGA-PBE gives the theoretical XRD peak list in this record (Cu Kα (weighted mean of Kα1 and Kα2)).

Main lines, by angle (2θ = 15–90°):
| Position (°2θ) | I/Imax | hkl |
| --- | --- | --- |
| 31.30 | 10 | 2 0 1 |
| 32.72 | 14 | 2 1 1 |
| 36.70 | 20 | 2 2 1 |
| 39.12 | 100 | 4 1 0 |
| 40.26 | 16 | 3 3 0 |
| 42.60 | 30 | 3 2 1 |
| 45.85 | 7 | 4 0 1 |
| 51.06 | 15 | 0 0 2 |
| 65.16 | 8 | 6 1 1 |
| 66.13 | 15 | 4 1 2 |

Cell and atoms:
Unit cell a=9.5028 b=9.5028 c=3.5774 alpha=90.00 beta=90.00 gamma=90.00
Space group P4/mbm (No. 127)
Unique sites:
La 0.1818 0.3182 0.0000 [4 per cell]
Zn 0.1162 0.6162 0.0000 [4 per cell]
Cu 0.0000 0.0000 0.0000 [2 per cell]
Ni 0.0000 0.5000 0.5000 [2 per cell]
Ni 0.0534 0.8031 0.5000 [8 per cell]



Record 6
For La2NpCu2S6, a crystal structure in Alexandria, relaxed with GGA-PBE gives the theoretical XRD peak list in this record (Cu Kα (weighted mean of Kα1 and Kα2)).

Main lines, by angle (2θ = 15–90°):
| Position (°2θ) | I/Imax | hkl |
| --- | --- | --- |
| 15.14 | 41 | 1 0 1 |
| 17.03 | 21 | 0 1 2 |
| 25.17 | 100 | 1 1 0 |
| 26.87 | 76 | 0 1 5 |
| 34.45 | 30 | 0 2 4 |
| 37.15 | 46 | 2 0 5 |
| 44.34 | 22 | 3 0 0 |
| 45.40 | 45 | 1 2 5 |
| 51.67 | 28 | 2 2 0 |
| 59.19 | 17 | 3 1 5 |

Cell and atoms:
Unit cell a=7.0763 b=7.0763 c=19.7356 alpha=90.00 beta=90.00 gamma=120.00
Space group R-3m (No. 166, hexagonal axes)
Unique sites:
La 0.0000 0.0000 0.1988 [6 per cell]
Np 0.0000 0.0000 0.0000 [3 per cell]
Cu 0.0000 0.0000 0.4301 [6 per cell]
S 0.0226 0.5113 0.7607 [18 per cell]